Record 1
Simulated powder diffractogram
Compound: Cr2FePt
Radiation: Cu Kα (λ = 1.5418 Å)
Structure: a DFT-relaxed cell (PBE, Alexandria)

Crystal structure
```
4
Lattice="-1.866 1.866 3.669 1.866 -1.866 3.669 1.866 1.866 -3.669" Properties=species:S:1:pos:R:3 pbc="T T T"
Cr 0.000 0.000 0.000
Cr 0.000 1.866 1.835
Fe 0.000 0.000 3.669
Pt 1.866 0.000 1.835
```

Most intense lines, 15 to 90 degrees two-theta, sorted by position:
2θ = 24.26°, I 14; 2θ = 26.80°, I 49; 2θ = 42.18°, I 100; 2θ = 44.27°, I 13; 2θ = 48.80°, I 32; 2θ = 49.69°, I 15; 2θ = 56.55°, I 14; 2θ = 72.21°, I 19; 2θ = 86.66°, I 24; 2θ = 88.02°, I 14

=====

Record 2
Simulated powder diffractogram
Compound: La4Sm2Th3
Radiation: Cu Kα (λ = 1.5418 Å)
Structure: a DFT-relaxed cell (PBE, Alexandria)

Crystal structure
```
9
Lattice="3.611 0.000 0.000 -1.806 3.127 0.000 0.000 0.000 27.580" Properties=species:S:1:pos:R:3 pbc="T T T"
La 0.000 0.000 0.000
La 0.000 0.000 5.929
La 0.000 2.085 9.220
La 0.000 2.085 15.179
Sm 0.000 0.000 18.311
Sm 0.000 0.000 24.122
Th 0.000 0.000 12.186
Th 0.000 2.085 2.967
Th 0.000 2.085 21.258
```

Most intense lines, 15 to 90 degrees two-theta, sorted by position:
2θ = 28.54°, I 51; 2θ = 29.14°, I 60; 2θ = 30.19°, I 17; 2θ = 31.41°, I 84; 2θ = 32.92°, I 100; 2θ = 41.25°, I 36; 2θ = 50.55°, I 42; 2θ = 55.10°, I 28; 2θ = 59.42°, I 51; 2θ = 82.58°, I 17

=====

Record 3
Simulated powder diffractogram
Compound: TlN2Cl4
Radiation: Cu Kα (λ = 1.5418 Å)
Structure: a DFT-relaxed cell (PBE, Alexandria)

Crystal structure
```
7
Lattice="4.439 0.000 0.000 1.901 6.088 0.000 0.336 0.975 8.351" Properties=species:S:1:pos:R:3 pbc="T T T"
Tl 0.000 0.000 0.000
N 1.514 3.805 5.780
N 5.162 3.257 2.571
Cl 2.402 5.077 5.277
Cl 2.841 2.430 6.966
Cl 3.835 4.632 1.386
Cl 4.274 1.986 3.075
```

Most intense lines, 15 to 90 degrees two-theta, sorted by position:
2θ = 17.08°, I 82; 2θ = 19.09°, I 55; 2θ = 20.97°, I 36; 2θ = 21.77°, I 50; 2θ = 23.51°, I 37; 2θ = 24.46°, I 100; 2θ = 25.05°, I 50; 2θ = 30.10°, I 32; 2θ = 31.61°, I 43; 2θ = 33.86°, I 32

=====

Record 4
Simulated powder diffractogram
Compound: LaTm2F11
Radiation: Cu Kα (λ = 1.5418 Å)
Structure: a DFT-relaxed cell (PBE, Alexandria)

Crystal structure
```
28
Lattice="-4.156 5.125 5.828 4.156 -5.125 5.828 4.156 5.125 -5.828" Properties=species:S:1:pos:R:3 pbc="T T T"
La 0.000 0.000 2.914
La 0.000 0.000 8.743
Tm 5.433 1.923 0.000
Tm 1.277 3.202 0.000
Tm 2.880 1.923 5.828
Tm -1.277 3.202 5.828
F 4.156 0.000 0.000
F 5.054 -3.309 4.229
F 1.805 -0.805 1.493
F 5.054 3.309 -1.599
F 3.230 2.054 0.000
F 6.507 0.805 1.493
F 2.351 4.319 -1.493
F 3.230 -2.054 5.828
F 0.898 1.816 1.599
F 1.805 0.805 4.335
F 5.054 3.309 1.599
F 0.000 5.125 0.000
F -0.898 1.816 4.229
F 2.351 4.319 1.493
F 3.258 3.309 4.229
F 0.926 7.179 0.000
F 1.805 0.805 7.322
F -2.351 4.319 4.335
F 0.926 3.070 5.828
F -0.898 1.816 7.427
F 2.351 5.930 4.335
F -0.898 8.433 1.599
```

Most intense lines, 15 to 90 degrees two-theta, sorted by position:
2θ = 15.20°, I 49; 2θ = 20.53°, I 100; 2θ = 21.75°, I 57; 2θ = 23.11°, I 90; 2θ = 24.34°, I 90; 2θ = 26.34°, I 23; 2θ = 28.24°, I 25; 2θ = 42.18°, I 35; 2θ = 43.70°, I 27; 2θ = 44.90°, I 48